The following is a calculated X-ray diffraction stick pattern of NaAuI2. It was derived from the PBE geometry in Alexandria, using Cu Kα X-rays.
Peak positions follow from Bragg's law for the DFT cell and can differ from measured ones.

The 6 most intense peaks (5° ≤ 2θ ≤ 70°), sorted by position:
- (1 0 1), d = 4.248 Å, I 100
- (0 1 2), d = 4.073 Å, I 54
- (0 1 8), d = 2.518 Å, I 22
- (1 1 0), d = 2.489 Å, I 41
- (1 0 10), d = 2.149 Å, I 42
- (1 1 9), d = 1.848 Å, I 24

Crystal structure
a b c (Å): 4.9785 4.9785 24.8119
angles (deg): 90.00 90.00 120.00
Space group P3_221 (No. 154)
Symmetry-distinct sites (fractional):
Na (0.0000, 0.6718, 0.3333) [3 per cell]
Au (0.0000, 0.6644, 0.8333) [3 per cell]
I (0.0044, 0.6666, 0.7294) [6 per cell]